(1)
Structure and theoretical X-ray powder pattern of LiLu2Hg (a DFT-relaxed cell (PBE, Alexandria); a wavelength of 1.5418 Å).
Kinematic intensities with the Lorentz-polarization factor, no thermal factor.

The 10 most intense peaks (5 to 70 degrees two-theta), sorted by position:
| 2θ (°) | I (rel.) | h k l |
| --- | --- | --- |
| 21.28 | 28.7 | 1 1 1 |
| 24.62 | 8.2 | 2 0 0 |
| 35.10 | 100.0 | 2 2 0 |
| 41.41 | 16.1 | 3 1 1 |
| 43.34 | 2.4 | 2 2 2 |
| 50.48 | 18.1 | 4 0 0 |
| 55.38 | 6.9 | 3 3 1 |
| 56.95 | 3.2 | 4 2 0 |
| 62.97 | 37.4 | 4 2 2 |
| 67.28 | 5.2 | 5 1 1 |

Crystal structure
```
data_LiLu2Hg
_chemical_formula_sum 'Li4 Lu8 Hg4'
_cell_length_a 7.231
_cell_length_b 7.231
_cell_length_c 7.231
_cell_angle_alpha 90.00
_cell_angle_beta 90.00
_cell_angle_gamma 90.00
_space_group_name_H-M_alt 'F m -3 m'
_space_group_IT_number 225
_space_group_name_Hall '-F 4 2 3'
loop_
_atom_site_label
_atom_site_fract_x
_atom_site_fract_y
_atom_site_fract_z
Li1 0.000 0.000 0.000
Lu1 0.250 0.250 0.250
Hg1 0.000 0.000 0.500
```

(2)
Structure and theoretical X-ray powder pattern of LiNdLuHg (a DFT-relaxed cell (PBE, Alexandria); a wavelength of 1.5418 Å).
Kinematic intensities with the Lorentz-polarization factor, no thermal factor.

The 10 most intense peaks (5 to 70 degrees two-theta), sorted by position:
| 2θ (°) | I (rel.) | h k l |
| --- | --- | --- |
| 20.67 | 32.1 | 1 1 1 |
| 23.91 | 5.8 | 2 0 0 |
| 34.06 | 100.0 | 2 2 0 |
| 40.18 | 18.4 | 3 1 1 |
| 42.05 | 1.7 | 2 2 2 |
| 48.94 | 18.2 | 4 0 0 |
| 53.67 | 8.0 | 3 3 1 |
| 55.18 | 2.2 | 4 2 0 |
| 60.97 | 37.9 | 4 2 2 |
| 65.11 | 6.0 | 5 1 1 |

Crystal structure
```
data_LiNdLuHg
_chemical_formula_sum 'Li4 Nd4 Lu4 Hg4'
_cell_length_a 7.444
_cell_length_b 7.444
_cell_length_c 7.444
_cell_angle_alpha 90.00
_cell_angle_beta 90.00
_cell_angle_gamma 90.00
_space_group_name_H-M_alt 'F -4 3 m'
_space_group_IT_number 216
_space_group_name_Hall 'F -4 2 3'
loop_
_atom_site_label
_atom_site_fract_x
_atom_site_fract_y
_atom_site_fract_z
Li1 0.000 0.000 0.000
Nd1 0.250 0.250 0.250
Lu1 0.250 0.250 0.750
Hg1 0.000 0.000 0.500
```

(3)
Structure and theoretical X-ray powder pattern of Li8Mg3Hg (a DFT-relaxed cell (PBE, Alexandria); a wavelength of 1.5418 Å).
Kinematic intensities with the Lorentz-polarization factor, no thermal factor.

The 10 most intense peaks (5 to 70 degrees two-theta), sorted by position:
| 2θ (°) | I (rel.) | h k l |
| --- | --- | --- |
| 14.72 | 100.0 | 1 0 1 |
| 16.54 | 42.5 | 1 1 0 |
| 17.93 | 15.6 | 0 0 2 |
| 23.48 | 37.6 | 2 0 0 |
| 24.49 | 75.0 | 1 1 2 |
| 27.83 | 45.2 | 2 1 1 |
| 29.54 | 18.9 | 1 0 3 |
| 33.45 | 21.0 | 2 2 0 |
| 38.07 | 20.4 | 2 1 3 |
| 41.89 | 42.3 | 3 1 2 |

Crystal structure
```
data_Li8Mg3Hg
_chemical_formula_sum 'Li16 Mg6 Hg2'
_cell_length_a 7.578
_cell_length_b 7.578
_cell_length_c 9.894
_cell_angle_alpha 90.00
_cell_angle_beta 90.00
_cell_angle_gamma 90.00
_space_group_name_H-M_alt 'I -4 2 m'
_space_group_IT_number 121
_space_group_name_Hall 'I -4 2'
loop_
_atom_site_label
_atom_site_fract_x
_atom_site_fract_y
_atom_site_fract_z
Li1 0.130 0.130 0.266
Li2 0.241 0.241 0.524
Mg1 0.000 0.000 0.000
Mg2 0.000 0.500 0.250
Hg1 0.000 0.000 0.500
```

(4)
Structure and theoretical X-ray powder pattern of LiMg2Hg2 (a DFT-relaxed cell (PBE, Alexandria); a wavelength of 1.5418 Å).
Kinematic intensities with the Lorentz-polarization factor, no thermal factor.

The 10 most intense peaks (5 to 70 degrees two-theta), sorted by position:
| 2θ (°) | I (rel.) | h k l |
| --- | --- | --- |
| 9.06 | 23.7 | 1 0 0 |
| 20.61 | 61.9 | 1 1 1 |
| 26.03 | 46.2 | 2 1 1 |
| 26.20 | 37.5 | 0 0 2 |
| 26.30 | 37.0 | 0 2 0 |
| 27.40 | 33.5 | 3 0 0 |
| 37.46 | 53.4 | 0 2 2 |
| 38.31 | 100.0 | 3 0 2 |
| 47.03 | 32.2 | 3 2 2 |
| 68.08 | 18.7 | 3 2 4 |

Crystal structure
```
data_LiMg2Hg2
_chemical_formula_sum 'Li4 Mg8 Hg8'
_cell_length_a 9.766
_cell_length_b 6.777
_cell_length_c 6.803
_cell_angle_alpha 90.00
_cell_angle_beta 90.00
_cell_angle_gamma 90.00
_space_group_name_H-M_alt 'P b c m'
_space_group_IT_number 57
_space_group_name_Hall '-P 2c 2b'
loop_
_atom_site_label
_atom_site_fract_x
_atom_site_fract_y
_atom_site_fract_z
Li1 0.171 0.250 0.000
Mg1 0.175 0.750 0.000
Mg2 0.497 0.250 0.000
Hg1 0.005 0.503 0.250
Hg2 0.336 0.005 0.250
```

(5)
Structure and theoretical X-ray powder pattern of Li8MgHg4 (a DFT-relaxed cell (PBE, Alexandria); a wavelength of 1.5418 Å).
Kinematic intensities with the Lorentz-polarization factor, no thermal factor.

The 10 most intense peaks (5 to 70 degrees two-theta), sorted by position:
| 2θ (°) | I (rel.) | h k l |
| --- | --- | --- |
| 5.47 | 31.8 | 0 0 1 |
| 10.95 | 46.5 | 0 0 2 |
| 23.10 | 100.0 | 0 1 2 |
| 26.22 | 32.9 | 0 1 3 |
| 26.44 | 68.0 | 1 0 1 |
| 27.61 | 25.1 | 0 0 5 |
| 30.09 | 23.1 | 0 1 4 |
| 33.54 | 37.9 | 1 1 1 |
| 37.15 | 66.2 | 1 1 3 |
| 49.63 | 25.5 | 1 2 1 |

Crystal structure
```
data_Li8MgHg4
_chemical_formula_sum 'Li8 Mg1 Hg4'
_cell_length_a 3.448
_cell_length_b 4.381
_cell_length_c 16.156
_cell_angle_alpha 90.00
_cell_angle_beta 90.00
_cell_angle_gamma 90.00
_space_group_name_H-M_alt 'P m m 2'
_space_group_IT_number 25
_space_group_name_Hall 'P 2 -2'
loop_
_atom_site_label
_atom_site_fract_x
_atom_site_fract_y
_atom_site_fract_z
Li1 0.000 0.000 0.000
Li2 0.000 0.000 0.266
Li3 0.000 0.500 0.143
Li4 0.000 0.500 0.427
Li5 0.500 0.000 0.409
Li6 0.500 0.000 0.683
Li7 0.500 0.500 0.581
Li8 0.500 0.500 0.985
Mg1 0.500 0.000 0.852
Hg1 0.000 0.000 0.543
Hg2 0.000 0.500 0.753
Hg3 0.500 0.000 0.127
Hg4 0.500 0.500 0.290
```

(6)
Structure and theoretical X-ray powder pattern of Li2Mg2Hg (a DFT-relaxed cell (PBE, Alexandria); a wavelength of 1.5418 Å).
Kinematic intensities with the Lorentz-polarization factor, no thermal factor.

The 10 most intense peaks (5 to 70 degrees two-theta), sorted by position:
| 2θ (°) | I (rel.) | h k l |
| --- | --- | --- |
| 16.01 | 100.0 | 1 0 -1 |
| 20.71 | 54.5 | 1 0 1 |
| 23.04 | 75.5 | 0 1 1 |
| 23.26 | 74.4 | 1 1 0 |
| 24.97 | 59.8 | 1 1 -1 |
| 26.62 | 41.7 | 2 0 -1 |
| 37.58 | 47.4 | 1 1 2 |
| 37.80 | 51.3 | 2 1 -2 |
| 38.00 | 40.3 | 2 1 1 |
| 42.08 | 28.3 | 2 0 2 |

Crystal structure
```
data_Li2Mg2Hg
_chemical_formula_sum 'Li4 Mg4 Hg2'
_cell_length_a 6.901
_cell_length_b 4.664
_cell_length_c 7.108
_cell_angle_alpha 90.00
_cell_angle_beta 104.46
_cell_angle_gamma 90.00
_space_group_name_H-M_alt 'P 1 21/m 1'
_space_group_IT_number 11
_space_group_name_Hall '-P 2yb'
loop_
_atom_site_label
_atom_site_fract_x
_atom_site_fract_y
_atom_site_fract_z
Li1 0.078 0.250 0.449
Li2 0.348 0.750 0.952
Mg1 0.012 0.250 0.849
Mg2 0.356 0.750 0.477
Hg1 0.307 0.250 0.195
```

(7)
Structure and theoretical X-ray powder pattern of LiMg3Hg4 (a DFT-relaxed cell (PBE, Alexandria); a wavelength of 1.5418 Å).
Kinematic intensities with the Lorentz-polarization factor, no thermal factor.

The 10 most intense peaks (5 to 70 degrees two-theta), sorted by position:
| 2θ (°) | I (rel.) | h k l |
| --- | --- | --- |
| 25.20 | 90.4 | 1 0 0 |
| 26.83 | 37.7 | 0 0 4 |
| 35.94 | 56.1 | 1 1 0 |
| 37.14 | 100.0 | 1 0 4 |
| 45.42 | 38.0 | 1 1 4 |
| 51.74 | 20.1 | 2 0 0 |
| 58.40 | 18.8 | 2 1 0 |
| 59.23 | 17.5 | 2 0 4 |
| 65.39 | 38.9 | 2 1 4 |
| 67.73 | 16.2 | 1 1 8 |

Crystal structure
```
data_LiMg3Hg4
_chemical_formula_sum 'Li1 Mg3 Hg4'
_cell_length_a 3.534
_cell_length_b 3.534
_cell_length_c 13.290
_cell_angle_alpha 90.00
_cell_angle_beta 90.00
_cell_angle_gamma 90.00
_space_group_name_H-M_alt 'P 4/m m m'
_space_group_IT_number 123
_space_group_name_Hall '-P 4 2'
loop_
_atom_site_label
_atom_site_fract_x
_atom_site_fract_y
_atom_site_fract_z
Li1 0.000 0.000 0.000
Mg1 0.000 0.000 0.245
Mg2 0.000 0.000 0.500
Hg1 0.500 0.500 0.116
Hg2 0.500 0.500 0.373
```

(8)
Structure and theoretical X-ray powder pattern of LiMgHg2 (a DFT-relaxed cell (PBE, Alexandria); a wavelength of 1.5418 Å).
Kinematic intensities with the Lorentz-polarization factor, no thermal factor.

The 10 most intense peaks (5 to 70 degrees two-theta), sorted by position:
| 2θ (°) | I (rel.) | h k l |
| --- | --- | --- |
| 19.35 | 100.0 | 0 0 2 |
| 31.39 | 26.1 | 2 0 -1 |
| 31.65 | 48.2 | 1 1 0 |
| 34.14 | 25.2 | 1 1 1 |
| 35.32 | 28.0 | 2 0 1 |
| 35.55 | 52.7 | 1 1 -2 |
| 39.11 | 25.8 | 1 1 2 |
| 39.28 | 21.7 | 0 0 4 |
| 48.47 | 20.8 | 1 1 -4 |
| 59.55 | 21.2 | 3 1 -3 |

Crystal structure
```
data_LiMgHg2
_chemical_formula_sum 'Li2 Mg2 Hg4'
_cell_length_a 5.730
_cell_length_b 3.273
_cell_length_c 9.371
_cell_angle_alpha 90.00
_cell_angle_beta 101.78
_cell_angle_gamma 90.00
_space_group_name_H-M_alt 'C 1 m 1'
_space_group_IT_number 8
_space_group_name_Hall 'C -2y'
loop_
_atom_site_label
_atom_site_fract_x
_atom_site_fract_y
_atom_site_fract_z
Li1 0.000 0.000 0.000
Mg1 0.332 0.500 0.501
Hg1 0.091 0.500 0.765
Hg2 0.410 0.000 0.236
```